For YMn5C2, a DFT-relaxed cell (GGA-PBE, Alexandria) gives the simulated XRD peak list in this record (Cu Kα (λ = 1.5418 Å)).

Top 6 peaks for 10° ≤ 2θ ≤ 90°, low angle first:
2θ/deg, d [Å], Rel. int.
34.7, 2.585, 70.3
40.6, 2.221, 85.9
42.4, 2.130, 100.0
51.5, 1.775, 26.2
56.7, 1.624, 22.0
68.2, 1.375, 25.0

Atomic structure:
```
YMn5C2
1.0
3.248 0.000 0.000
0.000 6.524 0.000
0.000 0.000 8.463
Y Mn C
2 10 4
Cartesian
0.000 0.000 0.000
1.624 3.262 4.231
0.000 1.200 2.860
0.000 1.200 5.603
0.000 3.262 0.000
0.000 5.324 2.860
0.000 5.324 5.603
1.624 0.000 4.231
1.624 2.062 1.371
1.624 2.062 7.091
1.624 4.462 1.371
1.624 4.462 7.091
0.000 3.262 2.099
0.000 3.262 6.364
1.624 0.000 2.133
1.624 0.000 6.330
```